Record 1
Starting from a crystal structure in OQMD, relaxed with GGA-PBE, the X-ray diffraction stick pattern of CdReAg2SeS3 was simulated for a wavelength of 1.5418 Å.
No peak broadening, texture or thermal motion is included.

Atomic structure:
Cell lengths 8.247, 8.176, 7.074 Å; angles 90.00, 125.22, 90.00 degrees
Space group Cm (No. 8)
Inequivalent atoms, fractional coordinates:
1 Cd 0.000 0.000 0.000
2 Re 0.012 0.500 0.003
3 Ag 0.496 0.236 0.484
4 Se 0.158 0.000 0.754
5 S 0.114 0.500 0.769
6 S 0.121 0.277 0.230

Most intense lines, 10° ≤ 2θ ≤ 90°, in order of falling intensity:
26.7 deg, rel. 100; 44.3 deg, rel. 37; 26.5 deg, rel. 31; 44.1 deg, rel. 25; 52.5 deg, rel. 18; 30.8 deg, rel. 18; 52.3 deg, rel. 14; 43.9 deg, rel. 13; 52.0 deg, rel. 11; 17.1 deg, rel. 11

Record 2
Starting from a crystal structure in OQMD, relaxed with GGA-PBE, the X-ray diffraction stick pattern of CdAg2SnSe2S2 was simulated for a wavelength of 1.5418 Å.
No peak broadening, texture or thermal motion is included.

Atomic structure:
Cell lengths 8.330, 8.509, 12.166 Å; angles 90.00, 90.00, 90.00 degrees
Space group Fmm2 (No. 42)
Inequivalent atoms, fractional coordinates:
1 Cd 0.000 0.000 0.000
2 Ag 0.250 0.250 0.266
3 Sn 0.000 0.000 0.502
4 Se 0.000 0.243 0.628
5 S 0.238 0.000 0.381

Most intense lines, 10° ≤ 2θ ≤ 90°, in order of falling intensity:
42.5 deg, rel. 100; 25.9 deg, rel. 91; 25.6 deg, rel. 87; 50.5 deg, rel. 28; 51.1 deg, rel. 25; 43.5 deg, rel. 19; 77.8 deg, rel. 19; 49.8 deg, rel. 15; 30.0 deg, rel. 13; 62.4 deg, rel. 12

Record 3
Starting from a crystal structure in OQMD, relaxed with GGA-PBE, the X-ray diffraction stick pattern of CdAg2SnS4 was simulated for a wavelength of 1.5418 Å.
No peak broadening, texture or thermal motion is included.

Atomic structure:
Cell lengths 8.155, 7.225, 6.809 Å; angles 90.00, 90.00, 90.00 degrees
Space group Pmn2_1 (No. 31)
Inequivalent atoms, fractional coordinates:
1 Cd 0.000 0.153 0.000
2 Ag 0.246 0.328 0.513
3 Sn 0.000 0.831 0.502
4 S 0.000 0.147 0.378
5 S 0.000 0.825 0.860
6 S 0.243 0.664 0.387

Most intense lines, 10° ≤ 2θ ≤ 90°, in order of falling intensity:
28.3 deg, rel. 100; 26.2 deg, rel. 63; 25.1 deg, rel. 58; 28.0 deg, rel. 51; 47.5 deg, rel. 51; 43.6 deg, rel. 47; 51.6 deg, rel. 37; 24.6 deg, rel. 28; 36.6 deg, rel. 26; 47.3 deg, rel. 26

Record 4
Starting from a crystal structure in OQMD, relaxed with GGA-PBE, the X-ray diffraction stick pattern of CdSiAg2Te2Se2 was simulated for a wavelength of 1.5418 Å.
No peak broadening, texture or thermal motion is included.

Atomic structure:
Cell lengths 13.787, 6.137, 6.119 Å; angles 90.00, 115.57, 90.00 degrees
Space group C2 (No. 5)
Inequivalent atoms, fractional coordinates:
1 Cd 0.000 0.000 0.000
2 Si 0.000 0.523 0.500
3 Ag 0.249 0.497 0.281
4 Te 0.126 0.281 0.847
5 Se 0.112 0.731 0.386

Most intense lines, 10° ≤ 2θ ≤ 90°, in order of falling intensity:
25.2 deg, rel. 100; 24.9 deg, rel. 91; 41.7 deg, rel. 63; 41.3 deg, rel. 48; 49.1 deg, rel. 30; 41.1 deg, rel. 24; 33.5 deg, rel. 23; 75.6 deg, rel. 17; 48.5 deg, rel. 16; 48.9 deg, rel. 13

Record 5
Starting from a crystal structure in OQMD, relaxed with GGA-PBE, the X-ray diffraction stick pattern of CdSiAg2TeSe3 was simulated for a wavelength of 1.5418 Å.
No peak broadening, texture or thermal motion is included.

Atomic structure:
Cell lengths 8.601, 8.458, 7.443 Å; angles 90.00, 124.74, 90.00 degrees
Space group Cm (No. 8)
Inequivalent atoms, fractional coordinates:
1 Cd 0.000 0.000 0.000
2 Si 0.014 0.500 0.001
3 Ag 0.494 0.234 0.481
4 Te 0.154 0.000 0.745
5 Se 0.116 0.500 0.772
6 Se 0.121 0.280 0.230

Most intense lines, 10° ≤ 2θ ≤ 90°, in order of falling intensity:
25.6 deg, rel. 100; 42.0 deg, rel. 72; 25.4 deg, rel. 51; 25.2 deg, rel. 46; 42.2 deg, rel. 46; 49.7 deg, rel. 36; 42.8 deg, rel. 21; 50.4 deg, rel. 14; 50.0 deg, rel. 12; 61.5 deg, rel. 12

Record 6
Starting from a crystal structure in OQMD, relaxed with GGA-PBE, the X-ray diffraction stick pattern of CdSiAg2Te2Se2 was simulated for a wavelength of 1.5418 Å.
No peak broadening, texture or thermal motion is included.

Atomic structure:
Cell lengths 8.605, 8.823, 12.345 Å; angles 90.00, 90.00, 90.00 degrees
Space group Fmm2 (No. 42)
Inequivalent atoms, fractional coordinates:
1 Cd 0.000 0.000 0.000
2 Si 0.000 0.000 0.498
3 Ag 0.250 0.250 0.268
4 Te 0.000 0.227 0.625
5 Se 0.220 0.000 0.386

Most intense lines, 10° ≤ 2θ ≤ 90°, in order of falling intensity:
25.2 deg, rel. 100; 41.4 deg, rel. 92; 24.8 deg, rel. 90; 48.7 deg, rel. 29; 49.4 deg, rel. 24; 40.9 deg, rel. 24; 42.0 deg, rel. 22; 48.8 deg, rel. 17; 60.1 deg, rel. 13; 74.9 deg, rel. 12

Record 7
Starting from a crystal structure in OQMD, relaxed with GGA-PBE, the X-ray diffraction stick pattern of CdAg2SnSe4 was simulated for a wavelength of 1.5418 Å.
No peak broadening, texture or thermal motion is included.

Atomic structure:
Cell lengths 8.593, 8.619, 7.563 Å; angles 90.00, 124.59, 90.00 degrees
Space group Cm (No. 8)
Inequivalent atoms, fractional coordinates:
1 Cd 0.000 0.000 0.000
2 Ag 0.003 0.247 0.502
3 Sn 0.005 0.500 0.002
4 Se 0.118 0.500 0.747
5 Se 0.128 0.257 0.251
6 Se 0.138 0.000 0.755

Most intense lines, 10° ≤ 2θ ≤ 90°, in order of falling intensity:
25.2 deg, rel. 100; 41.5 deg, rel. 50; 49.6 deg, rel. 31; 48.7 deg, rel. 16; 66.2 deg, rel. 13; 41.9 deg, rel. 12; 42.1 deg, rel. 12; 76.3 deg, rel. 8; 76.5 deg, rel. 8; 60.9 deg, rel. 8

Record 8
Starting from a crystal structure in OQMD, relaxed with GGA-PBE, the X-ray diffraction stick pattern of TmZrCd2Ag4 was simulated for a wavelength of 1.5418 Å.
No peak broadening, texture or thermal motion is included.

Atomic structure:
Cell lengths 4.854, 4.854, 6.816 Å; angles 90.00, 90.00, 90.00 degrees
Space group P4/mmm (No. 123)
Inequivalent atoms, fractional coordinates:
1 Tm 0.000 0.000 0.000
2 Zr 0.500 0.500 0.500
3 Cd 0.000 0.000 0.500
4 Cd 0.500 0.500 0.000
5 Ag 0.000 0.500 0.258

Most intense lines, 10° ≤ 2θ ≤ 90°, in order of falling intensity:
37.2 deg, rel. 100; 37.0 deg, rel. 51; 66.9 deg, rel. 34; 53.4 deg, rel. 17; 67.1 deg, rel. 16; 79.2 deg, rel. 10; 53.8 deg, rel. 8; 78.9 deg, rel. 5; 29.1 deg, rel. 2; 18.3 deg, rel. 2

Record 9
Starting from a crystal structure in OQMD, relaxed with GGA-PBE, the X-ray diffraction stick pattern of Zr2CdAg was simulated for a wavelength of 1.5418 Å.
No peak broadening, texture or thermal motion is included.

Atomic structure:
Cell lengths 3.158, 3.158, 8.569 Å; angles 90.00, 90.00, 90.00 degrees
Space group P4mm (No. 99)
Inequivalent atoms, fractional coordinates:
1 Zr 0.000 0.000 0.000
2 Zr 0.500 0.500 0.260
3 Cd 0.000 0.000 0.528
4 Ag 0.500 0.500 0.756

Most intense lines, 10° ≤ 2θ ≤ 90°, in order of falling intensity:
35.3 deg, rel. 100; 40.4 deg, rel. 35; 70.2 deg, rel. 25; 59.8 deg, rel. 19; 42.2 deg, rel. 14; 58.4 deg, rel. 11; 74.7 deg, rel. 10; 72.7 deg, rel. 10; 10.3 deg, rel. 5; 87.3 deg, rel. 4

Record 10
Starting from a crystal structure in OQMD, relaxed with GGA-PBE, the X-ray diffraction stick pattern of Ag5Cl6 was simulated for a wavelength of 1.5418 Å.
No peak broadening, texture or thermal motion is included.

Atomic structure:
Cell lengths 6.629, 12.039, 6.627 Å; angles 90.00, 105.87, 90.00 degrees
Space group C2/m (No. 12)
Inequivalent atoms, fractional coordinates:
1 Ag 0.000 0.000 0.000
2 Ag 0.000 0.165 0.500
3 Ag 0.000 0.338 0.000
4 Cl 0.243 0.000 0.759
5 Cl 0.243 0.175 0.249

Most intense lines, 10° ≤ 2θ ≤ 90°, in order of falling intensity:
31.6 deg, rel. 100; 27.9 deg, rel. 54; 33.9 deg, rel. 41; 47.0 deg, rel. 32; 47.0 deg, rel. 31; 45.2 deg, rel. 18; 45.4 deg, rel. 17; 57.7 deg, rel. 16; 57.9 deg, rel. 16; 76.3 deg, rel. 14

Record 11
Starting from a crystal structure in OQMD, relaxed with GGA-PBE, the X-ray diffraction stick pattern of Ag2Cl3 was simulated for a wavelength of 1.5418 Å.
No peak broadening, texture or thermal motion is included.

Atomic structure:
Cell lengths 5.264, 5.264, 4.985 Å; angles 90.00, 90.00, 90.00 degrees
Space group P4mm (No. 99)
Inequivalent atoms, fractional coordinates:
1 Ag 0.000 0.000 0.000
2 Ag 0.500 0.500 0.074
3 Cl 0.000 0.000 0.502
4 Cl 0.000 0.500 0.022

Most intense lines, 10° ≤ 2θ ≤ 90°, in order of falling intensity:
17.8 deg, rel. 100; 34.1 deg, rel. 66; 38.7 deg, rel. 54; 23.9 deg, rel. 52; 50.4 deg, rel. 33; 36.0 deg, rel. 23; 48.9 deg, rel. 22; 52.5 deg, rel. 21; 30.0 deg, rel. 21; 62.3 deg, rel. 17

Record 12
Starting from a crystal structure in OQMD, relaxed with GGA-PBE, the X-ray diffraction stick pattern of AgCl was simulated for a wavelength of 1.5418 Å.
No peak broadening, texture or thermal motion is included.

Atomic structure:
Cell lengths 4.2879, 4.2879, 41.6076 Å; angles 90.00, 90.00, 120.00 degrees
Space group R3m (No. 160, hexagonal axes)
Inequivalent atoms, fractional coordinates:
1 Ag 0.0000 0.0000 0.0000
2 Ag 0.0000 0.0000 0.1667
3 Ag 0.0000 0.0000 0.4166
4 Ag 0.0000 0.0000 0.5834
5 Cl 0.0000 0.0000 0.1036
6 Cl 0.0000 0.0000 0.3536
7 Cl 0.0000 0.0000 0.5202
8 Cl 0.0000 0.0000 0.9369

Most intense lines, 10° ≤ 2θ ≤ 90°, in order of falling intensity:
26.3 deg, rel. 100; 42.1 deg, rel. 79; 25.7 deg, rel. 68; 50.0 deg, rel. 61; 24.3 deg, rel. 61; 28.3 deg, rel. 48; 44.3 deg, rel. 46; 48.2 deg, rel. 27; 24.1 deg, rel. 18; 50.3 deg, rel. 18